SrCaCuO3: simulated X-ray diffraction stick pattern (CuKα), based on DFT lattice parameters and positions (PBE).
Lines closer than 0.1° are merged.

a = 3.426 Å, b = 3.921 Å, c = 12.438 Å
α = 90.00°, β = 90.00°, γ = 90.00°
Positions (direct):
Sr 0.000 0.000 0.000
Sr 0.500 0.500 0.500
Ca 0.000 0.000 0.296
Ca 0.500 0.500 0.796
Cu 0.000 0.000 0.649
Cu 0.500 0.500 0.149
O 0.000 0.000 0.489
O 0.000 0.000 0.804
O 0.000 0.500 0.655
O 0.500 0.000 0.155
O 0.500 0.500 0.304
O 0.500 0.500 0.989

Principal peaks in the range 2θ from 5° to 70°, in order of rising 2θ:
2θ 14.2, I = 26; 2θ 31.4, I = 57; 2θ 33.9, I = 71; 2θ 34.8, I = 100; 2θ 43.7, I = 26; 2θ 45.7, I = 12; 2θ 46.3, I = 28; 2θ 53.5, I = 17; 2θ 57.0, I = 34; 2θ 58.6, I = 28; 2θ 63.4, I = 16; 2θ 65.5, I = 13